Diffraction record for LiAc3Cr2O9. The powder diffractogram is computed, not measured: it uses a GGA+U-relaxed structure and Cu Ka.
Peak positions follow from Bragg's law for the DFT cell and can differ from measured ones.

Structure:
Cell: 5.575 5.575 6.880 Å, 90.00 90.00 120.00°
Element x y z (fractional)
Li: 0.000 0.000 0.000
Ac: 0.000 0.000 0.500
Ac: 0.333 0.667 0.158
Ac: 0.667 0.333 0.842
Cr: 0.333 0.667 0.673
Cr: 0.667 0.333 0.327
O: 0.000 0.500 0.500
O: 0.173 0.346 0.826
O: 0.173 0.827 0.826
O: 0.346 0.173 0.174
O: 0.500 0.000 0.500
O: 0.500 0.500 0.500
O: 0.654 0.827 0.826
O: 0.827 0.173 0.174
O: 0.827 0.654 0.174

Top 12 peaks for 2θ from 15° to 90°, sorted by position:
| 2θ (°) | I (rel.) |
| --- | --- |
| 22.50 | 1000 |
| 31.94 | 909 |
| 32.11 | 893 |
| 39.56 | 474 |
| 45.93 | 527 |
| 51.61 | 239 |
| 51.84 | 245 |
| 56.82 | 178 |
| 57.14 | 363 |
| 57.25 | 179 |
| 66.78 | 159 |
| 67.17 | 161 |